This entry pairs a crystal structure of BaSi2N2O2 with its simulated powder XRD pattern. Radiation: copper Kα. Structure: a cell relaxed with PBE.

Cell and atoms:
Cell: 14.5632 5.4017 4.8790 Å, 90.00 90.00 90.00°
Space group Pbcn (No. 60)
Asymmetric unit:
1 Ba 0.0000 0.2463 0.2500 (multiplicity 4)
2 Si 0.2002 0.3396 0.6998 (multiplicity 8)
3 N 0.2221 0.3691 0.3468 (multiplicity 8)
4 O 0.0931 0.2665 0.7516 (multiplicity 8)

Peak list (10 most intense, 5° ≤ 2θ ≤ 70°, sorted by position)
| Position (°2θ) | Rel. int. | hkl |
| --- | --- | --- |
| 12.2 | 33 | 2 0 0 |
| 24.4 | 36 | 4 0 0 |
| 25.3 | 48 | 1 1 1 |
| 30.8 | 100 | 3 1 1 |
| 33.2 | 27 | 0 2 0 |
| 35.4 | 18 | 2 2 0 |
| 36.8 | 27 | 0 0 2 |
| 39.7 | 30 | 5 1 1 |
| 50.4 | 14 | 0 2 2 |
| 50.6 | 31 | 7 1 1 |



This entry pairs a crystal structure of BaSrSi4N4O4 with its simulated powder XRD pattern. Radiation: copper Kα. Structure: a cell relaxed with PBE.

Cell and atoms:
Cell: 7.3555 7.3581 7.3614 Å, 82.02 81.80 81.41°
Space group P1 (No. 1)
Asymmetric unit:
1 Ba 0.0000 0.0000 0.0000 (multiplicity 1)
2 Ba 0.1274 0.9889 0.4684 (multiplicity 1)
3 Sr 0.1395 0.4677 0.9583 (multiplicity 1)
4 Sr 0.9828 0.5262 0.5096 (multiplicity 1)
5 Si 0.4540 0.6503 0.2000 (multiplicity 1)
6 Si 0.4626 0.1512 0.7051 (multiplicity 1)
7 Si 0.4630 0.5527 0.6010 (multiplicity 1)
8 Si 0.4727 0.0589 0.1000 (multiplicity 1)
9 Si 0.6503 0.8780 0.4255 (multiplicity 1)
10 Si 0.6629 0.3803 0.9251 (multiplicity 1)
11 Si 0.6651 0.7744 0.8281 (multiplicity 1)
12 Si 0.6667 0.2797 0.3328 (multiplicity 1)
13 N 0.5023 0.8621 0.2623 (multiplicity 1)
14 N 0.5142 0.3608 0.7634 (multiplicity 1)
15 N 0.5212 0.4833 0.3800 (multiplicity 1)
16 N 0.5344 0.9833 0.8819 (multiplicity 1)
17 N 0.5946 0.0992 0.4966 (multiplicity 1)
18 N 0.5986 0.5991 0.9983 (multiplicity 1)
19 N 0.6054 0.7185 0.6199 (multiplicity 1)
20 N 0.6265 0.2158 0.1194 (multiplicity 1)
21 O 0.2344 0.6663 0.1760 (multiplicity 1)
22 O 0.2401 0.1729 0.6985 (multiplicity 1)
23 O 0.2441 0.6319 0.6363 (multiplicity 1)
24 O 0.2589 0.1563 0.1269 (multiplicity 1)
25 O 0.8669 0.8388 0.3414 (multiplicity 1)
26 O 0.8789 0.3540 0.8352 (multiplicity 1)
27 O 0.8854 0.2997 0.3275 (multiplicity 1)
28 O 0.8879 0.7813 0.7994 (multiplicity 1)

Peak list (10 most intense, 5° ≤ 2θ ≤ 70°, sorted by position)
| Position (°2θ) | Rel. int. | hkl |
| --- | --- | --- |
| 12.3 | 32 | 1 0 0 |
| 24.6 | 100 | 2 0 0 |
| 26.9 | 42 | 2 1 1 |
| 29.0 | 51 | 1 0 -2 |
| 29.1 | 53 | 1 -2 0 |
| 32.3 | 38 | -2 1 1 |
| 32.7 | 27 | 2 2 0 |
| 32.8 | 82 | 1 2 2 |
| 37.2 | 58 | 0 2 -2 |
| 50.5 | 30 | 1 0 4 |



This entry pairs a crystal structure of Ba3Ta2N3O4 with its simulated powder XRD pattern. Radiation: copper Kα. Structure: a cell relaxed with PBE.

Cell and atoms:
Cell: 4.1456 21.7549 4.2386 Å, 90.00 90.00 90.00°
Space group Imm2 (No. 44)
Asymmetric unit:
1 Ba 0.0000 0.0000 0.0000 (multiplicity 2)
2 Ba 0.0000 0.1845 0.9988 (multiplicity 4)
3 Ta 0.0000 0.4058 0.9872 (multiplicity 4)
4 N 0.0000 0.0938 0.5198 (multiplicity 4)
5 N 0.0000 0.5000 0.0160 (multiplicity 2)
6 O 0.0000 0.3113 0.0234 (multiplicity 4)
7 O 0.0000 0.4026 0.5223 (multiplicity 4)

Peak list (10 most intense, 5° ≤ 2θ ≤ 70°, sorted by position)
| Position (°2θ) | Rel. int. | hkl |
| --- | --- | --- |
| 8.1 | 18 | 0 2 0 |
| 29.4 | 86 | 0 5 1 |
| 29.8 | 87 | 1 5 0 |
| 30.2 | 100 | 1 0 1 |
| 41.5 | 19 | 0 10 0 |
| 42.7 | 25 | 0 0 2 |
| 43.7 | 24 | 2 0 0 |
| 52.2 | 28 | 1 10 1 |
| 52.9 | 36 | 1 5 2 |
| 53.5 | 33 | 2 5 1 |



This entry pairs a crystal structure of BaTaNO2 with its simulated powder XRD pattern. Radiation: copper Kα. Structure: a cell relaxed with PBE.

Cell and atoms:
Cell: 4.1378 4.1378 4.1411 Å, 90.00 90.00 90.00°
Space group P4/mmm (No. 123)
Asymmetric unit:
1 Ba 0.0000 0.0000 0.0000 (multiplicity 1)
2 Ta 0.5000 0.5000 0.5000 (multiplicity 1)
3 N 0.5000 0.5000 0.0000 (multiplicity 1)
4 O 0.0000 0.5000 0.5000 (multiplicity 2)

Peak list (7 most intense, 5° ≤ 2θ ≤ 70°, sorted by position)
| Position (°2θ) | Rel. int. | hkl |
| --- | --- | --- |
| 21.5 | 6 | 0 0 1 |
| 30.5 | 100 | 1 0 1 |
| 43.7 | 27 | 2 0 0 |
| 49.2 | 2 | 2 0 1 |
| 54.3 | 41 | 2 1 1 |
| 63.6 | 17 | 2 2 0 |
| 67.9 | 1 | 2 2 1 |